Diffraction record for Sm8TmIn2. The PXRD pattern is simulated, not measured: it uses a PBE-relaxed structure and Cu Kα, 1.54184 Å.
Kinematic intensities with the Lorentz-polarization factor, no thermal factor.

Main lines, sorted by position (5° ≤ 2θ ≤ 70°):
- 25.31 deg, I = 20.9
- 28.89 deg, I = 61.5
- 30.21 deg, I = 32.3
- 30.60 deg, I = 91.7
- 31.61 deg, I = 22.4
- 31.87 deg, I = 56.5
- 32.32 deg, I = 73.1
- 32.95 deg, I = 100.0
- 34.42 deg, I = 36.9
- 62.32 deg, I = 30.4

Structural model:
Unit cell a=8.9440 b=8.9440 c=5.7811 alpha=103.37 beta=103.37 gamma=120.03
Element x y z (fractional)
Sm1 0.0946 0.3238 0.6287
Sm2 0.2155 0.7845 0.0000
Sm3 0.3238 0.0946 0.6287
Sm4 0.4073 0.4073 0.2065
Sm5 0.5927 0.5927 0.7935
Sm6 0.6762 0.9054 0.3713
Sm7 0.7845 0.2155 0.0000
Sm8 0.9054 0.6762 0.3713
Tm1 0.0000 0.0000 0.0000
In1 0.3066 0.6934 0.5000
In2 0.6934 0.3066 0.5000